[1]
The following is a simulated powder diffractogram of TmSeClO3. It was derived from a structure optimized by DFT (PBE), using λ = 1.5418 Å (Cu Kα).

The 10 most intense peaks (2θ = 5–70°), low angle first:
(1 0 1), 15.85°, intensity 100; (0 0 2), 20.23°, intensity 30; (1 0 2), 23.69°, intensity 52; (0 2 0), 25.75°, intensity 83; (2 1 0), 27.77°, intensity 44; (2 1 1), 29.61°, intensity 32; (1 0 3), 32.99°, intensity 36; (2 1 2), 34.60°, intensity 41; (3 1 1), 40.85°, intensity 45; (1 2 3), 42.34°, intensity 30

Crystal structure
a = 7.2528 Å, b = 6.9203 Å, c = 8.7798 Å
α = 90.00°, β = 90.00°, γ = 90.00°
Positions (direct):
Tm 0.1019 0.2500 0.0392
Tm 0.3981 0.7500 0.5392
Tm 0.6019 0.2500 0.4608
Tm 0.8981 0.7500 0.9608
Se 0.2087 0.2500 0.6338
Se 0.2913 0.7500 0.1338
Se 0.7087 0.2500 0.8662
Se 0.7913 0.7500 0.3662
Cl 0.0615 0.7500 0.6834
Cl 0.4385 0.2500 0.1834
Cl 0.5615 0.7500 0.8166
Cl 0.9385 0.2500 0.3166
O 0.1397 0.5713 0.0676
O 0.1397 0.9287 0.0676
O 0.2488 0.7500 0.3242
O 0.2512 0.2500 0.8242
O 0.3603 0.0713 0.5676
O 0.3603 0.4287 0.5676
O 0.6397 0.5713 0.4324
O 0.6397 0.9287 0.4324
O 0.7488 0.7500 0.1758
O 0.7512 0.2500 0.6758
O 0.8603 0.0713 0.9324
O 0.8603 0.4287 0.9324

[2]
The following is a simulated powder diffractogram of Zr2O. It was derived from a structure optimized by DFT (PBE), using λ = 1.5418 Å (Cu Kα).

The 7 most intense peaks (2θ = 5–70°), low angle first:
(1 1 0), 25.84°, intensity 2; (1 1 1), 31.78°, intensity 100; (2 0 0), 36.87°, intensity 41; (2 1 1), 45.57°, intensity 1; (2 2 0), 53.12°, intensity 39; (3 1 1), 63.25°, intensity 39; (2 2 2), 66.41°, intensity 10

Crystal structure
a = 4.8763 Å, b = 4.8763 Å, c = 4.8763 Å
α = 90.00°, β = 90.00°, γ = 90.00°
Positions (direct):
Zr 0.0000 0.0000 0.0000
Zr 0.0000 0.5000 0.5000
Zr 0.5000 0.0000 0.5000
Zr 0.5000 0.5000 0.0000
O 0.2500 0.2500 0.2500
O 0.7500 0.7500 0.7500